Starting from a crystal structure in Alexandria, relaxed with GGA-PBE, the powder X-ray diffraction pattern of Hf5CoOs4 was simulated for CuKα.

Structural model:
```
data_Hf5CoOs4
_chemical_formula_sum 'Hf5 Co1 Os4'
_symmetry_space_group_name_H-M 'P 4/m m m'
_symmetry_Int_Tables_number 123
_symmetry_space_group_name_Hall '-P 4 2'
_cell_length_a 3.242
_cell_length_b 3.242
_cell_length_c 16.138
_cell_angle_alpha 90.00
_cell_angle_beta 90.00
_cell_angle_gamma 90.00
loop_
_atom_site_label
_atom_site_fract_x
_atom_site_fract_y
_atom_site_fract_z
_atom_site_occupancy
Hf1 0.000 0.000 0.000 1
Hf2 0.000 0.000 0.203 1
Hf3 0.000 0.000 0.405 1
Co1 0.500 0.500 0.500 1
Os1 0.500 0.500 0.101 1
Os2 0.500 0.500 0.304 1
```

Top 6 peaks for 5° ≤ 2θ ≤ 70°, low angle first:
| hkl | d (Å) | Rel. int. |
| --- | --- | --- |
| 0 0 1 | 16.138 | 5 |
| 0 0 2 | 8.069 | 1 |
| 1 0 4 | 2.527 | 2 |
| 1 1 0 | 2.289 | 100 |
| 2 0 0 | 1.621 | 12 |
| 0 0 10 | 1.614 | 6 |


Starting from a crystal structure in Alexandria, relaxed with GGA-PBE, the powder X-ray diffraction pattern of Hf6CoOs5 was simulated for CuKα.

Structural model:
```
data_Hf6CoOs5
_chemical_formula_sum 'Hf6 Co1 Os5'
_symmetry_space_group_name_H-M 'P 1 2/m 1'
_symmetry_Int_Tables_number 10
_cell_length_a 4.596
_cell_length_b 6.467
_cell_length_c 7.262
_cell_angle_alpha 90.00
_cell_angle_beta 108.39
_cell_angle_gamma 90.00
loop_
_symmetry_equiv_pos_as_xyz
'x,y,z'
'-x,-y,-z'
'-x,y,-z'
'x,-y,z'
loop_
_atom_site_label
_atom_site_fract_x
_atom_site_fract_y
_atom_site_fract_z
_atom_site_occupancy
Hf1 0.000 0.247 0.000 1
Hf2 0.334 0.249 0.669 1
Co1 0.500 0.000 0.000 1
Os1 0.166 0.000 0.332 1
Os2 0.167 0.500 0.334 1
Os3 0.500 0.500 0.000 1
```

Top 6 peaks for 5° ≤ 2θ ≤ 70°, low angle first:
| hkl | d (Å) | Rel. int. |
| --- | --- | --- |
| 0 0 1 | 6.891 | 1 |
| 1 1 0 | 3.615 | 1 |
| 1 2 1 | 2.295 | 100 |
| 1 2 -2 | 2.291 | 50 |
| 2 0 2 | 1.625 | 17 |
| 0 4 0 | 1.617 | 9 |


Starting from a crystal structure in Alexandria, relaxed with GGA-PBE, the powder X-ray diffraction pattern of YHfCoOs was simulated for CuKα.

Structural model:
```
data_YHfCoOs
_chemical_formula_sum 'Y4 Hf4 Co4 Os4'
_symmetry_space_group_name_H-M 'F -4 3 m'
_symmetry_Int_Tables_number 216
_symmetry_space_group_name_Hall 'F -4 2 3'
_cell_length_a 6.593
_cell_length_b 6.593
_cell_length_c 6.593
_cell_angle_alpha 90.00
_cell_angle_beta 90.00
_cell_angle_gamma 90.00
loop_
_atom_site_label
_atom_site_fract_x
_atom_site_fract_y
_atom_site_fract_z
_atom_site_occupancy
Y1 0.000 0.000 0.000 1
Hf1 0.000 0.000 0.500 1
Co1 0.250 0.250 0.750 1
Os1 0.250 0.250 0.250 1
```

Top 6 peaks for 5° ≤ 2θ ≤ 70°, low angle first:
| hkl | d (Å) | Rel. int. |
| --- | --- | --- |
| 1 1 1 | 3.806 | 20 |
| 2 2 0 | 2.331 | 100 |
| 3 1 1 | 1.988 | 11 |
| 4 0 0 | 1.648 | 17 |
| 3 3 1 | 1.513 | 5 |
| 4 2 2 | 1.346 | 35 |


Starting from a crystal structure in Alexandria, relaxed with GGA-PBE, the powder X-ray diffraction pattern of Hf20Co5P11 was simulated for CuKα.

Structural model:
```
data_Hf20Co5P11
_chemical_formula_sum 'Hf20 Co5 P11'
_symmetry_space_group_name_H-M 'P 1 m 1'
_symmetry_Int_Tables_number 6
_cell_length_a 10.208
_cell_length_b 3.584
_cell_length_c 17.026
_cell_angle_alpha 90.00
_cell_angle_beta 90.24
_cell_angle_gamma 90.00
loop_
_symmetry_equiv_pos_as_xyz
'x,y,z'
'x,-y,z'
loop_
_atom_site_label
_atom_site_fract_x
_atom_site_fract_y
_atom_site_fract_z
_atom_site_occupancy
Hf1 0.000 0.000 0.000 1
Hf2 0.000 0.000 0.500 1
Hf3 0.062 0.000 0.300 1
Hf4 0.128 0.500 0.141 1
Hf5 0.189 0.500 0.745 1
Hf6 0.233 0.500 0.440 1
Hf7 0.262 0.000 0.901 1
Hf8 0.308 0.000 0.592 1
Hf9 0.369 0.000 0.190 1
Hf10 0.427 0.500 0.035 1
Hf11 0.494 0.500 0.837 1
Hf12 0.500 0.500 0.337 1
Hf13 0.563 0.500 0.536 1
Hf14 0.626 0.000 0.691 1
Hf15 0.690 0.000 0.092 1
Hf16 0.734 0.000 0.395 1
Hf17 0.766 0.500 0.939 1
Hf18 0.807 0.500 0.244 1
Hf19 0.869 0.500 0.644 1
Hf20 0.932 0.000 0.798 1
Co1 0.114 0.500 0.580 1
Co2 0.245 0.000 0.054 1
Co3 0.382 0.000 0.755 1
Co4 0.611 0.000 0.257 1
Co5 0.882 0.500 0.080 1
P1 0.060 0.000 0.659 1
P2 0.060 0.500 0.884 1
P3 0.251 0.500 0.284 1
P4 0.431 0.000 0.451 1
P5 0.437 0.500 0.677 1
P6 0.560 0.500 0.176 1
P7 0.570 0.000 0.950 1
P8 0.742 0.500 0.783 1
P9 0.753 0.000 0.552 1
P10 0.933 0.500 0.386 1
P11 0.935 0.000 0.161 1
```

Top 6 peaks for 5° ≤ 2θ ≤ 70°, low angle first:
| hkl | d (Å) | Rel. int. |
| --- | --- | --- |
| 1 1 4 | 2.648 | 59 |
| 2 1 -3 | 2.606 | 56 |
| 3 1 0 | 2.468 | 100 |
| 4 0 -2 | 2.443 | 96 |
| 2 1 4 | 2.415 | 68 |
| 0 2 0 | 1.792 | 56 |


Starting from a crystal structure in Alexandria, relaxed with GGA-PBE, the powder X-ray diffraction pattern of Hf3Co4P4 was simulated for CuKα.

Structural model:
```
data_Hf3Co4P4
_chemical_formula_sum 'Hf6 Co8 P8'
_symmetry_space_group_name_H-M 'I m m m'
_symmetry_Int_Tables_number 71
_symmetry_space_group_name_Hall '-I 2 2'
_cell_length_a 3.714
_cell_length_b 6.407
_cell_length_c 12.209
_cell_angle_alpha 90.00
_cell_angle_beta 90.00
_cell_angle_gamma 90.00
loop_
_atom_site_label
_atom_site_fract_x
_atom_site_fract_y
_atom_site_fract_z
_atom_site_occupancy
Hf1 0.000 0.000 0.000 1
Hf2 0.000 0.500 0.123 1
Co1 0.000 0.299 0.324 1
P1 0.000 0.000 0.216 1
P2 0.000 0.207 0.500 1
```

Top 6 peaks for 5° ≤ 2θ ≤ 70°, low angle first:
| hkl | d (Å) | Rel. int. |
| --- | --- | --- |
| 1 0 1 | 3.553 | 29 |
| 0 1 3 | 3.435 | 32 |
| 1 2 1 | 2.379 | 100 |
| 0 1 5 | 2.282 | 37 |
| 1 1 4 | 2.213 | 89 |
| 0 3 3 | 1.891 | 28 |


Starting from a crystal structure in Alexandria, relaxed with GGA-PBE, the powder X-ray diffraction pattern of HfPaCoRu was simulated for CuKα.

Structural model:
```
data_HfPaCoRu
_chemical_formula_sum 'Hf4 Pa4 Co4 Ru4'
_symmetry_space_group_name_H-M 'F -4 3 m'
_symmetry_Int_Tables_number 216
_symmetry_space_group_name_Hall 'F -4 2 3'
_cell_length_a 6.605
_cell_length_b 6.605
_cell_length_c 6.605
_cell_angle_alpha 90.00
_cell_angle_beta 90.00
_cell_angle_gamma 90.00
loop_
_atom_site_label
_atom_site_fract_x
_atom_site_fract_y
_atom_site_fract_z
_atom_site_occupancy
Hf1 0.000 0.000 0.000 1
Pa1 0.000 0.000 0.500 1
Co1 0.250 0.250 0.250 1
Ru1 0.250 0.250 0.750 1
```

Top 6 peaks for 5° ≤ 2θ ≤ 70°, low angle first:
| hkl | d (Å) | Rel. int. |
| --- | --- | --- |
| 2 0 0 | 3.302 | 21 |
| 2 2 0 | 2.335 | 100 |
| 2 2 2 | 1.907 | 7 |
| 4 0 0 | 1.651 | 17 |
| 4 2 0 | 1.477 | 9 |
| 4 2 2 | 1.348 | 35 |


What did the second record say?
Starting from a crystal structure in Alexandria, relaxed with GGA-PBE, the powder X-ray diffraction pattern of Hf6CoOs5 was simulated for CuKα.

Structural model:
```
data_Hf6CoOs5
_chemical_formula_sum 'Hf6 Co1 Os5'
_symmetry_space_group_name_H-M 'P 1 2/m 1'
_symmetry_Int_Tables_number 10
_cell_length_a 4.596
_cell_length_b 6.467
_cell_length_c 7.262
_cell_angle_alpha 90.00
_cell_angle_beta 108.39
_cell_angle_gamma 90.00
loop_
_symmetry_equiv_pos_as_xyz
'x,y,z'
'-x,-y,-z'
'-x,y,-z'
'x,-y,z'
loop_
_atom_site_label
_atom_site_fract_x
_atom_site_fract_y
_atom_site_fract_z
_atom_site_occupancy
Hf1 0.000 0.247 0.000 1
Hf2 0.334 0.249 0.669 1
Co1 0.500 0.000 0.000 1
Os1 0.166 0.000 0.332 1
Os2 0.167 0.500 0.334 1
Os3 0.500 0.500 0.000 1
```

Top 6 peaks for 5° ≤ 2θ ≤ 70°, low angle first:
| hkl | d (Å) | Rel. int. |
| --- | --- | --- |
| 0 0 1 | 6.891 | 1 |
| 1 1 0 | 3.615 | 1 |
| 1 2 1 | 2.295 | 100 |
| 1 2 -2 | 2.291 | 50 |
| 2 0 2 | 1.625 | 17 |
| 0 4 0 | 1.617 | 9 |